Record 1
AcCl4F5: simulated powder XRD pattern (Cu Kα (λ = 1.5418 Å)), based on the PBE geometry in Alexandria.

Main lines, by intensity (2θ from 5° to 70°):
| index | d [Å] | I (rel.) |
| --- | --- | --- |
| 1 0 1 | 5.375 | 100 |
| 2 1 1 | 3.422 | 54 |
| 2 0 0 | 4.439 | 41 |
| 2 3 1 | 2.313 | 31 |
| 2 2 0 | 3.138 | 26 |
| 1 1 0 | 6.277 | 22 |
| 0 0 2 | 3.377 | 20 |
| 4 3 1 | 1.717 | 17 |

Cell and atoms:
Cell lengths 8.877, 8.877, 6.754 Å; angles 90.00, 90.00, 90.00 degrees
Space group I4 (No. 79)
Asymmetric unit:
Ac 0.000 0.000 0.000 (multiplicity 2)
Cl 0.077 0.415 0.603 (multiplicity 8)
F 0.000 0.000 0.671 (multiplicity 2)
F 0.176 0.804 0.100 (multiplicity 8)

***

Record 2
AcClF5: simulated powder XRD pattern (Cu Kα (λ = 1.5418 Å)), based on the PBE geometry in Alexandria.

Main lines, by intensity (2θ from 5° to 70°):
| index | d [Å] | I (rel.) |
| --- | --- | --- |
| 0 1 0 | 6.951 | 100 |
| 1 0 0 | 4.564 | 93 |
| 0 1 -2 | 3.819 | 44 |
| 0 2 0 | 3.476 | 36 |
| 0 0 2 | 4.176 | 35 |
| 1 1 0 | 3.345 | 31 |
| 0 1 2 | 3.380 | 30 |
| 1 -1 1 | 4.069 | 25 |

Cell and atoms:
Cell lengths 4.832, 7.414, 8.433 Å; angles 97.34, 90.42, 108.81 degrees
Space group P-1 (No. 2)
Asymmetric unit:
Ac 0.084 0.498 0.250 (multiplicity 2)
Cl 0.000 0.000 0.000 (multiplicity 1)
Cl 0.500 0.000 0.500 (multiplicity 1)
F 0.077 0.687 0.027 (multiplicity 2)
F 0.082 0.124 0.202 (multiplicity 2)
F 0.102 0.689 0.523 (multiplicity 2)
F 0.420 0.507 0.751 (multiplicity 2)
F 0.469 0.870 0.301 (multiplicity 2)

***

Record 3
AcHgClF4: simulated powder XRD pattern (Cu Kα (λ = 1.5418 Å)), based on the PBE geometry in Alexandria.

Main lines, by intensity (2θ from 5° to 70°):
| index | d [Å] | I (rel.) |
| --- | --- | --- |
| 3 1 -1 | 3.259 | 100 |
| 0 2 0 | 3.866 | 64 |
| 2 0 1 | 4.119 | 52 |
| 3 3 -1 | 2.094 | 45 |
| 2 2 1 | 2.819 | 29 |
| 1 1 -1 | 5.009 | 24 |
| 5 1 0 | 2.170 | 23 |
| 5 3 0 | 1.700 | 23 |

Cell and atoms:
Cell lengths 11.464, 7.733, 7.278 Å; angles 90.00, 99.59, 90.00 degrees
Space group C2/m (No. 12)
Asymmetric unit:
Ac 0.209 0.000 0.092 (multiplicity 4)
Hg 0.107 0.500 0.351 (multiplicity 4)
Cl 0.021 0.000 0.765 (multiplicity 4)
F 0.071 0.500 0.766 (multiplicity 4)
F 0.193 0.317 0.134 (multiplicity 8)
F 0.243 0.000 0.446 (multiplicity 4)

***

Record 4
Ac2ClO2F2: simulated powder XRD pattern (Cu Kα (λ = 1.5418 Å)), based on the PBE geometry in Alexandria.

Main lines, by intensity (2θ from 5° to 70°):
| index | d [Å] | I (rel.) |
| --- | --- | --- |
| 1 0 1 | 3.452 | 100 |
| 0 1 2 | 2.844 | 41 |
| 1 1 0 | 2.172 | 34 |
| 0 0 1 | 8.686 | 34 |
| 1 1 3 | 1.738 | 29 |
| 1 0 4 | 1.881 | 26 |
| 0 0 3 | 2.895 | 20 |
| 0 0 2 | 4.343 | 19 |

Cell and atoms:
Cell lengths 4.3444, 4.3444, 8.6860 Å; angles 90.00, 90.00, 120.00 degrees
Space group P-3m1 (No. 164)
Asymmetric unit:
Ac 0.3333 0.6667 0.1886 (multiplicity 2)
Cl 0.0000 0.0000 0.5000 (multiplicity 1)
O 0.3333 0.6667 0.9084 (multiplicity 2)
F 0.0000 0.0000 0.1700 (multiplicity 2)

***

Record 5
AcThCl2F6: simulated powder XRD pattern (Cu Kα (λ = 1.5418 Å)), based on the PBE geometry in Alexandria.

Main lines, by intensity (2θ from 5° to 70°):
| index | d [Å] | I (rel.) |
| --- | --- | --- |
| 1 1 0 | 3.339 | 100 |
| 0 1 2 | 4.723 | 84 |
| 3 0 0 | 1.928 | 43 |
| 1 2 2 | 2.112 | 43 |
| 0 2 4 | 2.361 | 35 |
| 2 2 0 | 1.670 | 23 |
| 0 3 6 | 1.574 | 22 |
| 1 3 4 | 1.493 | 20 |

Cell and atoms:
Cell lengths 6.6815, 6.6815, 16.3470 Å; angles 90.00, 90.00, 120.00 degrees
Space group R-3m (No. 166, hexagonal axes)
Asymmetric unit:
Ac 0.0000 0.0000 0.0000 (multiplicity 3)
Th 0.0000 0.0000 0.5000 (multiplicity 3)
Cl 0.0000 0.0000 0.2500 (multiplicity 6)
F 0.0144 0.5072 0.2464 (multiplicity 18)

***

Record 6
AcGa2Cl8: simulated powder XRD pattern (Cu Kα (λ = 1.5418 Å)), based on the PBE geometry in Alexandria.

Main lines, by intensity (2θ from 5° to 70°):
| index | d [Å] | I (rel.) |
| --- | --- | --- |
| 1 1 0 | 6.802 | 100 |
| 1 1 1 | 4.604 | 53 |
| 2 2 -1 | 3.202 | 50 |
| 2 0 1 | 4.320 | 37 |
| 3 1 -1 | 3.671 | 35 |
| 0 2 0 | 3.976 | 28 |
| 2 2 -2 | 2.582 | 25 |
| 3 1 1 | 3.113 | 22 |

Cell and atoms:
Cell lengths 13.468, 7.951, 7.121 Å; angles 90.00, 102.74, 90.00 degrees
Space group C2/m (No. 12)
Asymmetric unit:
Ac 0.000 0.000 0.000 (multiplicity 2)
Ga 0.200 0.000 0.672 (multiplicity 4)
Cl 0.110 0.217 0.780 (multiplicity 8)
Cl 0.135 0.500 0.204 (multiplicity 4)
Cl 0.172 0.000 0.331 (multiplicity 4)